Record 1
Starting from the PBE geometry in Alexandria, the powder diffractogram of Pm2DySi2Pt7 was computed for CuKα.
Intensities are scaled so that the largest is 100.

Peak list (8 most intense, 10 to 90 degrees two-theta, in order of rising 2θ)
(hkl)	two_theta	Rel. int.
0 2 1	31.8	29
0 0 5	32.6	31
0 2 2	33.8	41
2 0 -3	34.5	65
2 0 2	35.5	80
0 2 3	37.0	100
2 2 -1	44.5	72
2 2 0	44.6	39

```
data_Pm2DySi2Pt7
_chemical_formula_sum 'Pm4 Dy2 Si4 Pt14'
_cell_length_a 5.794
_cell_length_b 5.743
_cell_length_c 13.852
_cell_angle_alpha 90.00
_cell_angle_beta 97.92
_cell_angle_gamma 90.00
_symmetry_space_group_name_H-M 'C 1 2/m 1'
_symmetry_Int_Tables_number 12
loop_
_symmetry_equiv_pos_as_xyz
'x,y,z'
'-x,-y,-z'
'-x,y,-z'
'x,-y,z'
'x+1/2,y+1/2,z'
'-x+1/2,-y+1/2,-z'
'-x+1/2,y+1/2,-z'
'x+1/2,-y+1/2,z'
loop_
_atom_site_label
_atom_site_type_symbol
_atom_site_fract_x
_atom_site_fract_y
_atom_site_fract_z
Pm1 Pm 0.106 0.000 0.355
Dy1 Dy 0.000 0.000 0.000
Si1 Si 0.085 0.500 0.253
Pt1 Pt 0.000 0.500 0.000
Pt2 Pt 0.119 0.500 0.424
Pt3 Pt 0.197 0.250 0.841
```



Record 2
Starting from the PBE geometry in Alexandria, the powder diffractogram of Pm8Dy4Pu was computed for CuKα.
Intensities are scaled so that the largest is 100.

Peak list (8 most intense, 10 to 90 degrees two-theta, in order of rising 2θ)
(hkl)	two_theta	Rel. int.
1 1 0	16.0	7
0 0 3	19.6	9
1 1 3	25.4	7
2 2 0	32.3	100
4 0 4	46.4	18
6 0 0	57.6	29
2 0 8	57.8	9
6 2 4	77.0	16

```
data_Pm8Dy4Pu
_chemical_formula_sum 'Pm24 Dy12 Pu3'
_cell_length_a 11.0859
_cell_length_b 11.0859
_cell_length_c 13.5420
_cell_angle_alpha 90.00
_cell_angle_beta 90.00
_cell_angle_gamma 120.00
_symmetry_space_group_name_H-M 'R -3 m'
_symmetry_Int_Tables_number 166
_symmetry_space_group_name_Hall '-R 3 2"'
loop_
_atom_site_label
_atom_site_type_symbol
_atom_site_fract_x
_atom_site_fract_y
_atom_site_fract_z
Pm1 Pm 0.0000 0.0000 0.2434
Pm2 Pm 0.0088 0.5044 0.7475
Dy1 Dy 0.0000 0.0000 0.0000
Dy2 Dy 0.0000 0.5000 0.0000
Pu1 Pu 0.0000 0.0000 0.5000
```



Record 3
Starting from the PBE geometry in Alexandria, the powder diffractogram of Pm4Dy3Pu was computed for CuKα.
Intensities are scaled so that the largest is 100.

Peak list (8 most intense, 10 to 90 degrees two-theta, in order of rising 2θ)
(hkl)	two_theta	Rel. int.
1 0 1	26.6	19
1 1 2	30.2	70
0 4 0	30.7	74
0 2 4	31.7	100
1 2 3	36.7	33
1 3 2	37.5	40
0 6 4	55.2	21
2 2 4	62.9	28

```
data_Pm4Dy3Pu
_chemical_formula_sum 'Pm8 Dy6 Pu2'
_cell_length_a 3.468
_cell_length_b 11.640
_cell_length_c 12.923
_cell_angle_alpha 90.00
_cell_angle_beta 90.00
_cell_angle_gamma 90.00
_symmetry_space_group_name_H-M 'I m m m'
_symmetry_Int_Tables_number 71
_symmetry_space_group_name_Hall '-I 2 2'
loop_
_atom_site_label
_atom_site_type_symbol
_atom_site_fract_x
_atom_site_fract_y
_atom_site_fract_z
Pm1 Pm 0.000 0.248 0.131
Dy1 Dy 0.000 0.000 0.500
Dy2 Dy 0.000 0.500 0.266
Pu1 Pu 0.000 0.000 0.000
```



Record 4
Starting from the PBE geometry in Alexandria, the powder diffractogram of Pm6Dy2Pu was computed for CuKα.
Intensities are scaled so that the largest is 100.

Peak list (8 most intense, 10 to 90 degrees two-theta, in order of rising 2θ)
(hkl)	two_theta	Rel. int.
3 0 1	30.4	100
0 0 2	35.3	51
3 3 2	50.7	36
3 0 3	60.3	43
6 0 2	63.3	12
6 3 3	82.6	18
3 3 4	85.3	11
9 3 0	85.3	5

```
data_Pm6Dy2Pu
_chemical_formula_sum 'Pm12 Dy4 Pu2'
_cell_length_a 10.791
_cell_length_b 10.791
_cell_length_c 5.094
_cell_angle_alpha 90.00
_cell_angle_beta 90.00
_cell_angle_gamma 90.00
_symmetry_space_group_name_H-M 'P 42/m n m'
_symmetry_Int_Tables_number 136
_symmetry_space_group_name_Hall '-P 4n 2n'
loop_
_atom_site_label
_atom_site_type_symbol
_atom_site_fract_x
_atom_site_fract_y
_atom_site_fract_z
Pm1 Pm 0.000 0.329 0.000
Pm2 Pm 0.164 0.164 0.500
Dy1 Dy 0.164 0.836 0.500
Pu1 Pu 0.000 0.000 0.000
```



Record 5
Starting from the PBE geometry in Alexandria, the powder diffractogram of Pm4Dy5Pu was computed for CuKα.
Intensities are scaled so that the largest is 100.

Peak list (8 most intense, 10 to 90 degrees two-theta, in order of rising 2θ)
(hkl)	two_theta	Rel. int.
3 1 -1	29.9	22
3 1 0	30.3	33
2 0 -4	31.4	58
1 1 2	31.7	38
4 0 2	31.9	100
6 0 -2	32.1	54
7 1 0	47.2	17
2 2 -4	61.7	17

```
data_Pm4Dy5Pu
_chemical_formula_sum 'Pm8 Dy10 Pu2'
_cell_length_a 16.985
_cell_length_b 3.538
_cell_length_c 11.395
_cell_angle_alpha 90.00
_cell_angle_beta 109.06
_cell_angle_gamma 90.00
_symmetry_space_group_name_H-M 'C 1 2/m 1'
_symmetry_Int_Tables_number 12
loop_
_symmetry_equiv_pos_as_xyz
'x,y,z'
'-x,-y,-z'
'-x,y,-z'
'x,-y,z'
'x+1/2,y+1/2,z'
'-x+1/2,-y+1/2,-z'
'-x+1/2,y+1/2,-z'
'x+1/2,-y+1/2,z'
loop_
_atom_site_label
_atom_site_type_symbol
_atom_site_fract_x
_atom_site_fract_y
_atom_site_fract_z
Pm1 Pm 0.087 0.000 0.297
Pm2 Pm 0.105 0.500 0.794
Dy1 Dy 0.000 0.500 0.000
Dy2 Dy 0.191 0.000 0.081
Dy3 Dy 0.210 0.000 0.615
Pu1 Pu 0.000 0.500 0.500
```



Record 6
Starting from the PBE geometry in Alexandria, the powder diffractogram of PmDyPu2S4 was computed for CuKα.
Intensities are scaled so that the largest is 100.

Peak list (8 most intense, 10 to 90 degrees two-theta, in order of rising 2θ)
(hkl)	two_theta	Rel. int.
0 0 2	27.5	24
2 0 0	27.6	71
1 1 1	31.9	100
2 0 2	45.7	37
0 2 0	45.9	37
3 1 1	54.3	28
2 2 -2	57.0	19
0 2 4	75.8	17

```
data_PmDyPu2S4
_chemical_formula_sum 'Pm1 Dy1 Pu2 S4'
_cell_length_a 6.855
_cell_length_b 3.954
_cell_length_c 6.881
_cell_angle_alpha 90.00
_cell_angle_beta 109.34
_cell_angle_gamma 90.00
_symmetry_space_group_name_H-M 'P 1 2/m 1'
_symmetry_Int_Tables_number 10
loop_
_symmetry_equiv_pos_as_xyz
'x,y,z'
'-x,-y,-z'
'-x,y,-z'
'x,-y,z'
loop_
_atom_site_label
_atom_site_type_symbol
_atom_site_fract_x
_atom_site_fract_y
_atom_site_fract_z
Pm1 Pm 0.000 0.000 0.000
Dy1 Dy 0.500 0.500 0.000
Pu1 Pu 0.000 0.500 0.500
Pu2 Pu 0.500 0.000 0.500
S1 S 0.255 0.000 0.750
S2 S 0.256 0.500 0.254
```



Record 7
Starting from the PBE geometry in Alexandria, the powder diffractogram of Pm3DyPu2Se6 was computed for CuKα.
Intensities are scaled so that the largest is 100.

Peak list (8 most intense, 10 to 90 degrees two-theta, in order of rising 2θ)
(hkl)	two_theta	Rel. int.
2 0 0	26.3	21
1 3 1	30.4	100
2 0 2	43.4	38
0 6 0	43.7	37
4 0 0	54.1	20
2 6 2	63.3	12
4 6 0	72.0	17
5 3 1	80.0	13

```
data_Pm3DyPu2Se6
_chemical_formula_sum 'Pm6 Dy2 Pu4 Se12'
_cell_length_a 7.178
_cell_length_b 12.439
_cell_length_c 7.237
_cell_angle_alpha 90.00
_cell_angle_beta 109.31
_cell_angle_gamma 90.00
_symmetry_space_group_name_H-M 'C 1 2/m 1'
_symmetry_Int_Tables_number 12
loop_
_symmetry_equiv_pos_as_xyz
'x,y,z'
'-x,-y,-z'
'-x,y,-z'
'x,-y,z'
'x+1/2,y+1/2,z'
'-x+1/2,-y+1/2,-z'
'-x+1/2,y+1/2,-z'
'x+1/2,-y+1/2,z'
loop_
_atom_site_label
_atom_site_type_symbol
_atom_site_fract_x
_atom_site_fract_y
_atom_site_fract_z
Pm1 Pm 0.000 0.000 0.000
Pm2 Pm 0.000 0.332 0.000
Dy1 Dy 0.000 0.500 0.500
Pu1 Pu 0.000 0.166 0.500
Se1 Se 0.246 0.334 0.742
Se2 Se 0.249 0.500 0.255
```



Record 8
Starting from the PBE geometry in Alexandria, the powder diffractogram of RbPmDy4S8 was computed for CuKα.
Intensities are scaled so that the largest is 100.

Peak list (8 most intense, 10 to 90 degrees two-theta, in order of rising 2θ)
(hkl)	two_theta	Rel. int.
0 1 5	24.9	48
1 1 3	25.2	100
0 2 1	25.3	53
0 2 4	30.4	54
1 2 5	39.9	39
0 3 3	40.0	31
2 0 8	43.3	61
2 2 0	43.8	60

```
data_RbPmDy4S8
_chemical_formula_sum 'Rb3 Pm3 Dy12 S24'
_cell_length_a 8.2634
_cell_length_b 8.2634
_cell_length_c 20.6088
_cell_angle_alpha 90.00
_cell_angle_beta 90.00
_cell_angle_gamma 120.00
_symmetry_space_group_name_H-M 'R 3 m'
_symmetry_Int_Tables_number 160
_symmetry_space_group_name_Hall 'R 3 -2"'
loop_
_atom_site_label
_atom_site_type_symbol
_atom_site_fract_x
_atom_site_fract_y
_atom_site_fract_z
Rb1 Rb 0.0000 0.0000 0.0000
Pm1 Pm 0.0000 0.0000 0.6333
Dy1 Dy 0.0000 0.0000 0.2540
Dy2 Dy 0.1724 0.3449 0.4603
S1 S 0.0000 0.0000 0.3855
S2 S 0.0000 0.0000 0.8584
S3 S 0.0459 0.5230 0.3875
S4 S 0.1745 0.3490 0.2084
```